[1]
# U2Te2PO
Theoretical XRD peak list, copper Kα. Input: a crystal structure in the Materials Project, relaxed with GGA-PBE.

Atomic structure:
```
data_U2Te2PO
_chemical_formula_sum 'U8 Te8 P4 O4'
_cell_length_a 5.532
_cell_length_b 38.188
_cell_length_c 3.910
_cell_angle_alpha 90.00
_cell_angle_beta 134.83
_cell_angle_gamma 90.00
_space_group_name_H-M_alt 'C 1 m 1'
_space_group_IT_number 8
_space_group_name_Hall 'C -2y'
loop_
_atom_site_label
_atom_site_type_symbol
_atom_site_fract_x
_atom_site_fract_y
_atom_site_fract_z
_atom_site_occupancy
U1 U 0.000 0.050 0.000 1
U2 U 0.397 0.218 0.923 1
Te1 Te 0.400 0.326 0.926 1
Te2 Te 0.498 0.087 0.999 1
P1 P 0.002 0.500 0.500 1
P2 P 0.007 0.000 0.508 1
O1 O 0.396 0.250 0.423 1
```

Principal peaks in the range 2θ from 10° to 80°, most intense first:
d = 2.878 Å, 2θ = 31.07°, intensity 100.0, hkl 1 9 -1; d = 2.770 Å, 2θ = 32.32°, intensity 55.3, hkl 0 0 1; d = 2.396 Å, 2θ = 37.54°, intensity 25.2, hkl 0 8 1; d = 4.773 Å, 2θ = 18.59°, intensity 21.7, hkl 0 8 0; d = 1.954 Å, 2θ = 46.47°, intensity 20.6, hkl 2 0 -2; d = 3.182 Å, 2θ = 28.04°, intensity 20.2, hkl 1 7 0; d = 2.350 Å, 2θ = 38.30°, intensity 19.8, hkl 1 13 -1; d = 1.949 Å, 2θ = 46.61°, intensity 19.6, hkl 1 17 -1; d = 1.619 Å, 2θ = 56.86°, intensity 15.2, hkl 1 9 -2; d = 3.744 Å, 2θ = 23.77°, intensity 13.3, hkl 1 3 -1

[2]
# TaN2
Theoretical XRD peak list, copper Kα. Input: a crystal structure in the Materials Project, relaxed with GGA-PBE.

Atomic structure:
```
data_TaN2
_chemical_formula_sum 'Ta2 N4'
_cell_length_a 5.4596
_cell_length_b 5.4596
_cell_length_c 2.8000
_cell_angle_alpha 90.00
_cell_angle_beta 90.00
_cell_angle_gamma 120.00
_space_group_name_H-M_alt 'P 6/m m m'
_space_group_IT_number 191
_space_group_name_Hall '-P 6 2'
loop_
_atom_site_label
_atom_site_type_symbol
_atom_site_fract_x
_atom_site_fract_y
_atom_site_fract_z
_atom_site_occupancy
Ta1 Ta 0.3333 0.6667 0.0000 1
N1 N 0.0000 0.0000 0.5000 1
N2 N 0.0000 0.5000 0.5000 1
```

Principal peaks in the range 2θ from 10° to 80°, most intense first:
d = 2.730 Å, 2θ = 32.81°, intensity 100.0, hkl 1 1 0; d = 4.728 Å, 2θ = 18.77°, intensity 98.6, hkl 1 0 0; d = 1.955 Å, 2θ = 46.46°, intensity 76.9, hkl 1 1 1; d = 2.409 Å, 2θ = 37.32°, intensity 35.4, hkl 1 0 1; d = 2.800 Å, 2θ = 31.96°, intensity 25.3, hkl 0 0 1; d = 1.373 Å, 2θ = 68.29°, intensity 24.6, hkl 3 0 1; d = 1.806 Å, 2θ = 50.53°, intensity 23.7, hkl 2 0 1; d = 1.576 Å, 2θ = 58.57°, intensity 19.4, hkl 3 0 0; d = 1.246 Å, 2θ = 76.47°, intensity 17.9, hkl 1 1 2; d = 1.506 Å, 2θ = 61.56°, intensity 16.7, hkl 2 1 1

[3]
# Ga2Te3
Theoretical XRD peak list, copper Kα. Input: a crystal structure in the Materials Project, relaxed with GGA-PBE.

Atomic structure:
```
data_Ga2Te3
_chemical_formula_sum 'Ga8 Te12'
_cell_length_a 7.359
_cell_length_b 12.997
_cell_length_c 7.318
_cell_angle_alpha 90.00
_cell_angle_beta 108.53
_cell_angle_gamma 90.00
_space_group_name_H-M_alt 'C 1 c 1'
_space_group_IT_number 9
_space_group_name_Hall 'C -2yc'
loop_
_atom_site_label
_atom_site_type_symbol
_atom_site_fract_x
_atom_site_fract_y
_atom_site_fract_z
_atom_site_occupancy
Ga1 Ga 0.000 0.084 0.000 1
Ga2 Ga 0.473 0.249 0.999 1
Te1 Te 0.333 0.421 0.113 1
Te2 Te 0.362 0.242 0.610 1
Te3 Te 0.371 0.082 0.138 1
```

Principal peaks in the range 2θ from 10° to 80°, most intense first:
d = 3.504 Å, 2θ = 25.42°, intensity 100.0, hkl 1 3 -1; d = 3.469 Å, 2θ = 25.68°, intensity 53.1, hkl 0 0 2; d = 3.489 Å, 2θ = 25.53°, intensity 45.3, hkl 2 0 0; d = 2.125 Å, 2θ = 42.53°, intensity 40.9, hkl 1 3 -3; d = 2.134 Å, 2θ = 42.35°, intensity 39.7, hkl 3 3 -1; d = 1.839 Å, 2θ = 49.58°, intensity 29.8, hkl 0 6 2; d = 2.166 Å, 2θ = 41.70°, intensity 22.7, hkl 0 6 0; d = 1.805 Å, 2θ = 50.56°, intensity 21.1, hkl 4 0 -2; d = 3.047 Å, 2θ = 29.31°, intensity 20.9, hkl 1 3 1; d = 2.143 Å, 2θ = 42.17°, intensity 19.9, hkl 2 0 2

[4]
# Na4As2O7
Theoretical XRD peak list, copper Kα. Input: a crystal structure in the Materials Project, relaxed with GGA-PBE.

Atomic structure:
```
data_Na4As2O7
_chemical_formula_sum 'Na16 As8 O28'
_cell_length_a 6.055
_cell_length_b 10.287
_cell_length_c 12.528
_cell_angle_alpha 90.00
_cell_angle_beta 92.74
_cell_angle_gamma 90.00
_space_group_name_H-M_alt 'C 1 2/c 1'
_space_group_IT_number 15
_space_group_name_Hall '-C 2yc'
loop_
_atom_site_label
_atom_site_type_symbol
_atom_site_fract_x
_atom_site_fract_y
_atom_site_fract_z
_atom_site_occupancy
Na1 Na 0.157 0.178 0.372 1
Na2 Na 0.191 0.486 0.905 1
As1 As 0.144 0.152 0.861 1
O1 O 0.000 0.066 0.750 1
O2 O 0.066 0.178 0.556 1
O3 O 0.178 0.465 0.094 1
O4 O 0.233 0.212 0.186 1
```

Principal peaks in the range 2θ from 10° to 80°, most intense first:
d = 4.885 Å, 2θ = 18.16°, intensity 100.0, hkl 1 1 -1; d = 2.670 Å, 2θ = 33.56°, intensity 93.0, hkl 2 0 2; d = 3.128 Å, 2θ = 28.53°, intensity 82.6, hkl 0 0 4; d = 2.983 Å, 2θ = 29.95°, intensity 82.1, hkl 1 3 0; d = 4.757 Å, 2θ = 18.65°, intensity 78.6, hkl 0 2 1; d = 3.194 Å, 2θ = 27.94°, intensity 61.7, hkl 1 1 3; d = 4.089 Å, 2θ = 21.73°, intensity 50.8, hkl 1 1 -2; d = 5.214 Å, 2θ = 17.01°, intensity 46.2, hkl 1 1 0; d = 2.718 Å, 2θ = 32.96°, intensity 34.1, hkl 1 3 -2; d = 1.738 Å, 2θ = 52.66°, intensity 32.3, hkl 3 3 0

[5]
# GeSe2O6
Theoretical XRD peak list, copper Kα. Input: a crystal structure in the Materials Project, relaxed with GGA-PBE.

Atomic structure:
```
data_GeSe2O6
_chemical_formula_sum 'Ge2 Se4 O12'
_cell_length_a 5.142
_cell_length_b 6.898
_cell_length_c 8.958
_cell_angle_alpha 90.00
_cell_angle_beta 124.08
_cell_angle_gamma 90.00
_space_group_name_H-M_alt 'P 1 21/c 1'
_space_group_IT_number 14
_space_group_name_Hall '-P 2ybc'
loop_
_atom_site_label
_atom_site_type_symbol
_atom_site_fract_x
_atom_site_fract_y
_atom_site_fract_z
_atom_site_occupancy
Ge1 Ge 0.000 0.000 0.000 1
Se1 Se 0.315 0.175 0.800 1
O1 O 0.195 0.084 0.244 1
O2 O 0.285 0.718 0.584 1
O3 O 0.288 0.163 0.987 1
```

Principal peaks in the range 2θ from 10° to 80°, most intense first:
d = 5.052 Å, 2θ = 17.55°, intensity 100.0, hkl 0 1 1; d = 3.583 Å, 2θ = 24.85°, intensity 64.3, hkl 1 1 -2; d = 3.624 Å, 2θ = 24.56°, intensity 59.1, hkl 1 1 0; d = 2.099 Å, 2θ = 43.10°, intensity 39.2, hkl 1 3 -1; d = 3.267 Å, 2θ = 27.29°, intensity 30.3, hkl 0 1 2; d = 2.571 Å, 2θ = 34.90°, intensity 24.2, hkl 2 0 -2; d = 2.681 Å, 2θ = 33.43°, intensity 21.3, hkl 1 2 0; d = 3.128 Å, 2θ = 28.54°, intensity 20.4, hkl 0 2 1; d = 2.214 Å, 2θ = 40.75°, intensity 17.1, hkl 1 0 -4; d = 2.740 Å, 2θ = 32.69°, intensity 15.9, hkl 1 1 -3

[6]
# NbSi2
Theoretical XRD peak list, copper Kα. Input: a crystal structure in the Materials Project, relaxed with GGA-PBE.

Atomic structure:
```
data_NbSi2
_chemical_formula_sum 'Nb3 Si6'
_cell_length_a 4.8177
_cell_length_b 4.8177
_cell_length_c 6.6233
_cell_angle_alpha 90.00
_cell_angle_beta 90.00
_cell_angle_gamma 120.00
_space_group_name_H-M_alt 'P 62 2 2'
_space_group_IT_number 180
_space_group_name_Hall 'P 62 2 (0 0 4)'
loop_
_atom_site_label
_atom_site_type_symbol
_atom_site_fract_x
_atom_site_fract_y
_atom_site_fract_z
_atom_site_occupancy
Nb1 Nb 0.0000 0.5000 0.1667 1
Si1 Si 0.1592 0.3185 0.5000 1
```

Principal peaks in the range 2θ from 10° to 80°, most intense first:
d = 2.264 Å, 2θ = 39.82°, intensity 100.0, hkl 1 1 1; d = 3.530 Å, 2θ = 25.23°, intensity 67.7, hkl 1 0 1; d = 1.948 Å, 2θ = 46.62°, intensity 64.9, hkl 1 1 2; d = 2.208 Å, 2θ = 40.88°, intensity 34.9, hkl 0 0 3; d = 2.594 Å, 2θ = 34.58°, intensity 29.9, hkl 1 0 2; d = 1.365 Å, 2θ = 68.80°, intensity 19.1, hkl 1 1 4; d = 1.361 Å, 2θ = 69.00°, intensity 18.7, hkl 3 0 1; d = 1.282 Å, 2θ = 73.91°, intensity 17.8, hkl 3 0 2; d = 2.086 Å, 2θ = 43.38°, intensity 17.3, hkl 2 0 0; d = 2.409 Å, 2θ = 37.33°, intensity 14.9, hkl 1 1 0